Tb3Al: theoretical powder diffraction line list (Cu Kα, 1.54184 Å), based on DFT lattice parameters and positions (GGA-PBE).
Kinematic intensities with the Lorentz-polarization factor, no thermal factor.

Atomic structure:
abc: 4.7753 4.7753 4.7753
angles: 90.00 90.00 90.00
Fractional positions:
1 Tb 0.0000 0.0000 0.5000
2 Tb 0.0000 0.5000 0.0000
3 Tb 0.5000 0.0000 0.0000
4 Al 0.5000 0.5000 0.5000

Peak list (10 most intense, 10 to 80 degrees two-theta, by angle)
18.6 deg, I = 197
26.4 deg, I = 172
32.5 deg, I = 1000
37.7 deg, I = 502
42.3 deg, I = 100
46.6 deg, I = 76
54.3 deg, I = 350
57.9 deg, I = 50
64.7 deg, I = 412
68.0 deg, I = 119